Entry 1:
This entry pairs a crystal structure of AsAu with its simulated X-ray diffraction stick pattern. Radiation: Cu Kα (λ = 1.5418 Å). Structure: a structure optimized by DFT (PBE).
Kinematic intensities with the Lorentz-polarization factor, no thermal factor.

Peak list (8 most intense, 10° ≤ 2θ ≤ 90°, by angle)
h k l  2θ/deg  Rel. int.
1 0 1  27.35  36.6
1 1 1  28.28  55.4
1 3 0  28.42  36.6
0 3 1  29.20  100.0
2 0 0  37.85  42.8
0 6 0  43.24  26.9
1 2 2  47.12  37.3
2 3 1  48.51  50.1

Crystal structure
```
data_AsAu
_chemical_formula_sum 'As6 Au6'
_space_group_name_H-M_alt 'P m m n'
_space_group_IT_number 59
_cell_length_a 4.754
_cell_length_b 12.554
_cell_length_c 4.482
_cell_angle_alpha 90.00
_cell_angle_beta 90.00
_cell_angle_gamma 90.00
loop_
_space_group_symop_operation_xyz
'x,y,z'
'-x,-y,-z'
'-x+1/2,-y+1/2,z'
'x+1/2,y+1/2,-z'
'x+1/2,-y,-z'
'-x+1/2,y,z'
'-x,y+1/2,-z'
'x,-y+1/2,z'
loop_
_atom_site_label
_atom_site_type_symbol
_atom_site_fract_x
_atom_site_fract_y
_atom_site_fract_z
_atom_site_occupancy
As1 As 0.250 0.064 0.084 1
As2 As 0.250 0.750 0.347 1
Au1 Au 0.250 0.250 0.862 1
Au2 Au 0.250 0.584 0.670 1
```

Entry 2:
This entry pairs a crystal structure of NaCdAgF2 with its simulated X-ray diffraction stick pattern. Radiation: Cu Kα (λ = 1.5418 Å). Structure: a structure optimized by DFT (PBE).
Kinematic intensities with the Lorentz-polarization factor, no thermal factor.

Peak list (8 most intense, 10° ≤ 2θ ≤ 90°, by angle)
h k l  2θ/deg  Rel. int.
0 0 1  16.53  66.8
1 1 0  30.07  54.9
0 0 2  33.41  39.5
1 1 1  34.50  100.0
2 0 0  43.05  37.8
1 1 2  45.56  34.9
2 0 1  46.41  19.8
2 0 2  55.56  33.5

Crystal structure
```
data_NaCdAgF2
_chemical_formula_sum 'Na1 Cd1 Ag1 F2'
_space_group_name_H-M_alt 'P 4/m m m'
_space_group_IT_number 123
_space_group_name_Hall '-P 4 2'
_cell_length_a 4.203
_cell_length_b 4.203
_cell_length_c 5.363
_cell_angle_alpha 90.00
_cell_angle_beta 90.00
_cell_angle_gamma 90.00
loop_
_atom_site_label
_atom_site_type_symbol
_atom_site_fract_x
_atom_site_fract_y
_atom_site_fract_z
_atom_site_occupancy
Na1 Na 0.000 0.000 0.000 1
Cd1 Cd 0.000 0.000 0.500 1
Ag1 Ag 0.500 0.500 0.500 1
F1 F 0.000 0.500 0.000 1
```

Entry 3:
This entry pairs a crystal structure of Ho3Si6NiPt2 with its simulated X-ray diffraction stick pattern. Radiation: Cu Kα (λ = 1.5418 Å). Structure: a structure optimized by DFT (PBE).
Kinematic intensities with the Lorentz-polarization factor, no thermal factor.

Peak list (8 most intense, 10° ≤ 2θ ≤ 90°, by angle)
h k l  2θ/deg  Rel. int.
0 0 2  19.45  38.7
1 0 2  27.78  100.0
1 1 0  34.37  97.5
1 1 2  39.79  80.1
0 1 4  44.48  63.4
2 0 2  44.75  40.2
1 2 2  57.62  26.4
1 2 4  68.63  35.1

Crystal structure
```
data_Ho3Si6NiPt2
_chemical_formula_sum 'Ho3 Si6 Ni1 Pt2'
_space_group_name_H-M_alt 'P -3 m 1'
_space_group_IT_number 164
_space_group_name_Hall '-P 3 2"'
_cell_length_a 5.2187
_cell_length_b 5.2187
_cell_length_c 9.1273
_cell_angle_alpha 90.00
_cell_angle_beta 90.00
_cell_angle_gamma 120.00
loop_
_atom_site_label
_atom_site_type_symbol
_atom_site_fract_x
_atom_site_fract_y
_atom_site_fract_z
_atom_site_occupancy
Ho1 Ho 0.0000 0.0000 0.0000 1
Ho2 Ho 0.3333 0.6667 0.5753 1
Si1 Si 0.1636 0.3272 0.2876 1
Ni1 Ni 0.0000 0.0000 0.5000 1
Pt1 Pt 0.3333 0.6667 0.0764 1
```

Entry 4:
This entry pairs a crystal structure of K3TbSb2O9 with its simulated X-ray diffraction stick pattern. Radiation: Cu Kα (λ = 1.5418 Å). Structure: a structure optimized by DFT (PBE).
Kinematic intensities with the Lorentz-polarization factor, no thermal factor.

Peak list (8 most intense, 10° ≤ 2θ ≤ 90°, by angle)
h k l  2θ/deg  Rel. int.
1 0 1  21.23  100.0
0 1 2  30.10  86.6
1 1 0  30.30  84.8
2 0 2  43.24  60.9
1 1 3  48.52  21.4
2 1 1  48.78  22.0
1 2 2  53.71  32.8
2 2 0  63.03  17.9

Crystal structure
```
data_K3TbSb2O9
_chemical_formula_sum 'K3 Tb1 Sb2 O9'
_space_group_name_H-M_alt 'P -3 m 1'
_space_group_IT_number 164
_space_group_name_Hall '-P 3 2"'
_cell_length_a 5.8995
_cell_length_b 5.8995
_cell_length_c 7.2947
_cell_angle_alpha 90.00
_cell_angle_beta 90.00
_cell_angle_gamma 120.00
loop_
_atom_site_label
_atom_site_type_symbol
_atom_site_fract_x
_atom_site_fract_y
_atom_site_fract_z
_atom_site_occupancy
K1 K 0.0000 0.0000 0.0000 1
K2 K 0.3333 0.6667 0.6653 1
Tb1 Tb 0.0000 0.0000 0.5000 1
Sb1 Sb 0.3333 0.6667 0.1588 1
O1 O 0.0000 0.5000 0.0000 1
O2 O 0.1756 0.3512 0.3141 1
```